[1]
This entry pairs a crystal structure of Co5PdPt2 with its theoretical powder X-ray diffraction pattern. Radiation: Cu Kα, 1.54184 Å. Structure: a crystal structure in Alexandria, relaxed with GGA-PBE.

Structure:
```
data_Co5PdPt2
_chemical_formula_sum 'Co10 Pd2 Pt4'
_space_group_name_H-M_alt 'I 4/m m m'
_space_group_IT_number 139
_space_group_name_Hall '-I 4 2'
_cell_length_a 5.3088
_cell_length_b 5.3088
_cell_length_c 7.3490
_cell_angle_alpha 90.00
_cell_angle_beta 90.00
_cell_angle_gamma 90.00
loop_
_atom_site_label
_atom_site_type_symbol
_atom_site_fract_x
_atom_site_fract_y
_atom_site_fract_z
_atom_site_occupancy
Co1 Co 0.0000 0.0000 0.0000 1
Co2 Co 0.2500 0.2500 0.2500 1
Pd1 Pd 0.0000 0.0000 0.5000 1
Pt1 Pt 0.0000 0.5000 0.0000 1
```

Largest 10 diffraction maxima, by intensity, 2θ = 5–70°:
2theta  I (rel.)  index
41.99  100  2 0 2
48.50  33  2 2 0
49.62  15  0 0 4
23.70  15  1 1 0
24.22  15  0 0 2
33.77  13  2 0 0
34.15  12  1 1 2
54.93  7  2 2 2
60.65  5  3 1 2
61.37  5  2 0 4

[2]
This entry pairs a crystal structure of NdCdNi5 with its theoretical powder X-ray diffraction pattern. Radiation: Cu Kα, 1.54184 Å. Structure: a crystal structure in Alexandria, relaxed with GGA-PBE.

Structure:
```
data_NdCdNi5
_chemical_formula_sum 'Nd4 Cd4 Ni20'
_space_group_name_H-M_alt 'P n m a'
_space_group_IT_number 62
_cell_length_a 8.2093
_cell_length_b 4.8954
_cell_length_c 10.3842
_cell_angle_alpha 90.00
_cell_angle_beta 90.00
_cell_angle_gamma 90.00
loop_
_space_group_symop_operation_xyz
'x,y,z'
'-x,-y,-z'
'-x+1/2,-y,z+1/2'
'x+1/2,y,-z+1/2'
'x+1/2,-y+1/2,-z+1/2'
'-x+1/2,y+1/2,z+1/2'
'-x,y+1/2,-z'
'x,-y+1/2,z'
loop_
_atom_site_label
_atom_site_type_symbol
_atom_site_fract_x
_atom_site_fract_y
_atom_site_fract_z
_atom_site_occupancy
Nd1 Nd 0.2459 0.2500 0.0603 1
Cd1 Cd 0.1382 0.7500 0.8635 1
Ni1 Ni 0.0466 0.7500 0.1126 1
Ni2 Ni 0.0676 0.5007 0.3129 1
Ni3 Ni 0.0786 0.2500 0.5160 1
Ni4 Ni 0.1880 0.2500 0.7393 1
```

Largest 10 diffraction maxima, by intensity, 2θ = 5–70°:
2theta  I (rel.)  index
38.68  100  3 1 1
45.03  29  1 0 5
46.78  27  1 2 3
45.29  26  2 1 4
67.44  23  3 3 1
36.72  23  0 2 0
36.29  23  1 0 4
31.66  21  0 1 3
43.94  21  2 2 1
33.53  18  1 1 3

[3]
This entry pairs a crystal structure of SrSm2NpN4 with its theoretical powder X-ray diffraction pattern. Radiation: Cu Kα, 1.54184 Å. Structure: a crystal structure in Alexandria, relaxed with GGA-PBE.

Structure:
```
data_SrSm2NpN4
_chemical_formula_sum 'Sr4 Sm8 Np4 N16'
_space_group_name_H-M_alt 'C m c m'
_space_group_IT_number 63
_space_group_name_Hall '-C 2c 2'
_cell_length_a 3.6240
_cell_length_b 12.4899
_cell_length_c 12.6993
_cell_angle_alpha 90.00
_cell_angle_beta 90.00
_cell_angle_gamma 90.00
loop_
_atom_site_label
_atom_site_type_symbol
_atom_site_fract_x
_atom_site_fract_y
_atom_site_fract_z
_atom_site_occupancy
Sr1 Sr 0.0000 0.1367 0.2500 1
Sm1 Sm 0.0000 0.3702 0.0222 1
Np1 Np 0.0000 0.1301 0.7500 1
N1 N 0.0000 0.0000 0.0000 1
N2 N 0.0000 0.2432 0.6189 1
N3 N 0.0000 0.4670 0.2500 1
```

Largest 10 diffraction maxima, by intensity, 2θ = 5–70°:
2theta  I (rel.)  index
29.26  100  1 1 2
35.76  99  1 3 2
28.11  62  0 0 4
28.59  56  0 4 0
15.81  52  0 2 1
40.52  46  0 4 4
46.41  25  1 5 2
59.56  24  1 7 2
54.86  22  1 3 6
66.54  21  2 4 4

[4]
This entry pairs a crystal structure of CeMg12Ag6 with its theoretical powder X-ray diffraction pattern. Radiation: Cu Kα, 1.54184 Å. Structure: a crystal structure in Alexandria, relaxed with GGA-PBE.

Structure:
```
data_CeMg12Ag6
_chemical_formula_sum 'Ce3 Mg36 Ag18'
_space_group_name_H-M_alt 'R -3 m'
_space_group_IT_number 166
_space_group_name_Hall '-R 3 2"'
_cell_length_a 12.4634
_cell_length_b 12.4634
_cell_length_c 9.4566
_cell_angle_alpha 90.00
_cell_angle_beta 90.00
_cell_angle_gamma 120.00
loop_
_atom_site_label
_atom_site_type_symbol
_atom_site_fract_x
_atom_site_fract_y
_atom_site_fract_z
_atom_site_occupancy
Ce1 Ce 0.0000 0.0000 0.0000 1
Mg1 Mg 0.0000 0.3829 0.5000 1
Mg2 Mg 0.0857 0.1714 0.3286 1
Ag1 Ag 0.0393 0.5196 0.2535 1
```

Largest 10 diffraction maxima, by intensity, 2θ = 5–70°:
2theta  I (rel.)  index
28.65  100  2 2 0
23.75  94  2 1 1
41.71  73  0 2 4
25.04  63  2 0 2
28.91  59  1 2 2
20.51  44  0 1 2
41.15  36  2 3 2
46.23  35  5 0 2
61.15  33  5 2 3
37.55  33  3 2 1

[5]
This entry pairs a crystal structure of Er2MnFe5B2 with its theoretical powder X-ray diffraction pattern. Radiation: Cu Kα, 1.54184 Å. Structure: a crystal structure in Alexandria, relaxed with GGA-PBE.

Structure:
```
data_Er2MnFe5B2
_chemical_formula_sum 'Er4 Mn2 Fe10 B4'
_space_group_name_H-M_alt 'P 4/m b m'
_space_group_IT_number 127
_space_group_name_Hall '-P 4 2ab'
_cell_length_a 8.9660
_cell_length_b 8.9660
_cell_length_c 3.0635
_cell_angle_alpha 90.00
_cell_angle_beta 90.00
_cell_angle_gamma 90.00
loop_
_atom_site_label
_atom_site_type_symbol
_atom_site_fract_x
_atom_site_fract_y
_atom_site_fract_z
_atom_site_occupancy
Er1 Er 0.1778 0.3222 0.0000 1
Mn1 Mn 0.0000 0.0000 0.0000 1
Fe1 Fe 0.0000 0.5000 0.5000 1
Fe2 Fe 0.0664 0.7761 0.5000 1
B1 B 0.1189 0.6189 0.0000 1
```

Largest 10 diffraction maxima, by intensity, 2θ = 5–70°:
2theta  I (rel.)  index
36.93  100  2 1 1
41.53  78  4 1 0
43.49  68  3 1 1
22.17  46  2 1 0
40.97  32  2 2 1
42.79  25  3 3 0
35.49  19  2 0 1
19.80  19  2 0 0
47.07  18  3 2 1
45.23  18  4 2 0

[6]
This entry pairs a crystal structure of PaSi2Ag2 with its theoretical powder X-ray diffraction pattern. Radiation: Cu Kα, 1.54184 Å. Structure: a crystal structure in Alexandria, relaxed with GGA-PBE.

Structure:
```
data_PaSi2Ag2
_chemical_formula_sum 'Pa4 Si8 Ag8'
_space_group_name_H-M_alt 'I m m a'
_space_group_IT_number 74
_space_group_name_Hall '-I 2b 2'
_cell_length_a 4.0464
_cell_length_b 4.0487
_cell_length_c 22.5097
_cell_angle_alpha 90.00
_cell_angle_beta 90.00
_cell_angle_gamma 90.00
loop_
_atom_site_label
_atom_site_type_symbol
_atom_site_fract_x
_atom_site_fract_y
_atom_site_fract_z
_atom_site_occupancy
Pa1 Pa 0.0000 0.2500 0.0741 1
Si1 Si 0.0000 0.2500 0.5255 1
Si2 Si 0.0000 0.2500 0.6275 1
Ag1 Ag 0.0000 0.2500 0.2984 1
Ag2 Ag 0.0000 0.2500 0.7993 1
```

Largest 10 diffraction maxima, by intensity, 2θ = 5–70°:
2theta  I (rel.)  index
35.18  100  1 1 4
44.78  33  2 0 0
22.32  22  1 0 1
24.99  22  0 1 3
29.68  21  0 1 5
31.80  18  0 0 8
35.66  16  1 0 7
55.97  14  2 0 8
42.49  12  0 1 9
65.19  11  2 2 0

[7]
This entry pairs a crystal structure of NaMgAlH6 with its theoretical powder X-ray diffraction pattern. Radiation: Cu Kα, 1.54184 Å. Structure: a crystal structure in Alexandria, relaxed with GGA-PBE.

Structure:
```
data_NaMgAlH6
_chemical_formula_sum 'Na2 Mg2 Al2 H12'
_space_group_name_H-M_alt 'P 42 n m'
_space_group_IT_number 102
_cell_length_a 4.5079
_cell_length_b 4.5079
_cell_length_c 8.9192
_cell_angle_alpha 90.00
_cell_angle_beta 90.00
_cell_angle_gamma 90.00
loop_
_space_group_symop_operation_xyz
'x,y,z'
'-y+1/2,x+1/2,z+1/2'
'-x,-y,z'
'y+1/2,-x+1/2,z+1/2'
'-x+1/2,y+1/2,z+1/2'
'y,x,z'
'x+1/2,-y+1/2,z+1/2'
'-y,-x,z'
loop_
_atom_site_label
_atom_site_type_symbol
_atom_site_fract_x
_atom_site_fract_y
_atom_site_fract_z
_atom_site_occupancy
Na1 Na 0.0000 0.0000 0.0000 1
Mg1 Mg 0.0000 0.0000 0.6666 1
Al1 Al 0.0000 0.0000 0.3345 1
H1 H 0.1755 0.1755 0.4854 1
H2 H 0.1992 0.1992 0.1962 1
H3 H 0.2273 0.2273 0.8196 1
```

Largest 9 diffraction maxima, by intensity, 2θ = 5–70°:
2theta  I (rel.)  index
27.99  100  1 1 0
36.19  90  1 0 3
55.04  55  2 1 3
40.00  30  2 0 0
65.48  15  3 1 0
69.81  13  1 1 6
57.85  12  2 2 0
62.48  5  0 0 6
22.09  1  1 0 1

[8]
This entry pairs a crystal structure of Li2PrBiTe4 with its theoretical powder X-ray diffraction pattern. Radiation: Cu Kα, 1.54184 Å. Structure: a crystal structure in Alexandria, relaxed with GGA-PBE.

Structure:
```
data_Li2PrBiTe4
_chemical_formula_sum 'Li2 Pr1 Bi1 Te4'
_space_group_name_H-M_alt 'P 1 2/m 1'
_space_group_IT_number 10
_cell_length_a 7.5373
_cell_length_b 4.4639
_cell_length_c 7.7183
_cell_angle_alpha 90.00
_cell_angle_beta 109.88
_cell_angle_gamma 90.00
loop_
_space_group_symop_operation_xyz
'x,y,z'
'-x,-y,-z'
'-x,y,-z'
'x,-y,z'
loop_
_atom_site_label
_atom_site_type_symbol
_atom_site_fract_x
_atom_site_fract_y
_atom_site_fract_z
_atom_site_occupancy
Li1 Li 0.0000 0.0000 0.0000 1
Li2 Li 0.0000 0.5000 0.5000 1
Pr1 Pr 0.5000 0.0000 0.5000 1
Bi1 Bi 0.5000 0.5000 0.0000 1
Te1 Te 0.2354 0.0000 0.7507 1
Te2 Te 0.2357 0.5000 0.2419 1
```

Largest 10 diffraction maxima, by intensity, 2θ = 5–70°:
2theta  I (rel.)  index
28.57  100  1 1 1
40.45  40  0 2 0
41.23  36  2 0 2
23.41  28  1 0 -2
12.49  26  1 0 0
50.26  21  0 0 4
31.28  19  2 1 -1
67.51  16  3 1 3
66.37  12  1 3 1
56.77  9  4 1 -3

[9]
This entry pairs a crystal structure of HoTm2Ir4 with its theoretical powder X-ray diffraction pattern. Radiation: Cu Kα, 1.54184 Å. Structure: a crystal structure in Alexandria, relaxed with GGA-PBE.

Structure:
```
data_HoTm2Ir4
_chemical_formula_sum 'Ho2 Tm4 Ir8'
_space_group_name_H-M_alt 'I 4/m m m'
_space_group_IT_number 139
_space_group_name_Hall '-I 4 2'
_cell_length_a 6.6034
_cell_length_b 6.6034
_cell_length_c 6.5434
_cell_angle_alpha 90.00
_cell_angle_beta 90.00
_cell_angle_gamma 90.00
loop_
_atom_site_label
_atom_site_type_symbol
_atom_site_fract_x
_atom_site_fract_y
_atom_site_fract_z
_atom_site_occupancy
Ho1 Ho 0.0000 0.0000 0.0000 1
Tm1 Tm 0.0000 0.5000 0.0000 1
Ir1 Ir 0.2500 0.2500 0.2500 1
```

Largest 10 diffraction maxima, by intensity, 2θ = 5–70°:
2theta  I (rel.)  index
38.75  100  2 0 2
38.56  51  2 2 0
69.89  36  4 2 2
55.68  18  4 0 0
19.06  16  1 1 0
56.23  9  0 0 4
27.01  5  2 0 0
33.29  5  2 1 1
33.44  3  1 1 2
43.35  3  3 1 0

[10]
This entry pairs a crystal structure of Li2PuReO8 with its theoretical powder X-ray diffraction pattern. Radiation: Cu Kα, 1.54184 Å. Structure: a crystal structure in Alexandria, relaxed with GGA-PBE.

Structure:
```
data_Li2PuReO8
_chemical_formula_sum 'Li4 Pu2 Re2 O16'
_space_group_name_H-M_alt 'C m m m'
_space_group_IT_number 65
_space_group_name_Hall '-C 2 2'
_cell_length_a 6.6102
_cell_length_b 6.9248
_cell_length_c 6.3658
_cell_angle_alpha 90.00
_cell_angle_beta 90.00
_cell_angle_gamma 90.00
loop_
_atom_site_label
_atom_site_type_symbol
_atom_site_fract_x
_atom_site_fract_y
_atom_site_fract_z
_atom_site_occupancy
Li1 Li 0.0000 0.0000 0.2170 1
Pu1 Pu 0.0000 0.5000 0.5000 1
Re1 Re 0.0000 0.5000 0.0000 1
O1 O 0.0000 0.3157 0.2305 1
O2 O 0.2238 0.0000 0.0000 1
O3 O 0.2244 0.0000 0.5000 1
```

Largest 10 diffraction maxima, by intensity, 2θ = 5–70°:
2theta  I (rel.)  index
18.56  100  1 1 0
33.83  39  1 1 2
25.73  26  0 2 0
38.42  24  0 2 2
26.98  21  2 0 0
50.77  18  1 3 2
28.03  17  0 0 2
47.57  15  2 2 2
52.19  14  3 1 2
43.08  14  3 1 0

[11]
This entry pairs a crystal structure of Cs2KSiF7 with its theoretical powder X-ray diffraction pattern. Radiation: Cu Kα, 1.54184 Å. Structure: a crystal structure in Alexandria, relaxed with GGA-PBE.

Structure:
```
data_Cs2KSiF7
_chemical_formula_sum 'Cs8 K4 Si4 F28'
_space_group_name_H-M_alt 'C m m m'
_space_group_IT_number 65
_space_group_name_Hall '-C 2 2'
_cell_length_a 11.5292
_cell_length_b 11.9173
_cell_length_c 6.0203
_cell_angle_alpha 90.00
_cell_angle_beta 90.00
_cell_angle_gamma 90.00
loop_
_atom_site_label
_atom_site_type_symbol
_atom_site_fract_x
_atom_site_fract_y
_atom_site_fract_z
_atom_site_occupancy
Cs1 Cs 0.0000 0.1960 0.0000 1
Cs2 Cs 0.2500 0.2500 0.5000 1
K1 K 0.1967 0.5000 0.0000 1
Si1 Si 0.0000 0.0000 0.5000 1
Si2 Si 0.0000 0.5000 0.5000 1
F1 F 0.0000 0.1440 0.5000 1
F2 F 0.0000 0.3989 0.2953 1
F3 F 0.1057 0.0000 0.2965 1
F4 F 0.1489 0.5000 0.5000 1
F5 F 0.2500 0.2500 0.0000 1
```

Largest 10 diffraction maxima, by intensity, 2θ = 5–70°:
2theta  I (rel.)  index
26.11  100  2 2 1
29.68  26  0 0 2
21.34  24  2 0 1
31.03  24  4 0 0
34.57  22  4 2 0
38.32  18  1 3 2
43.47  17  4 0 2
29.99  16  0 4 0
33.35  16  0 2 2
14.87  15  0 2 0

[12]
This entry pairs a crystal structure of Ac3Ce5Te8 with its theoretical powder X-ray diffraction pattern. Radiation: Cu Kα, 1.54184 Å. Structure: a crystal structure in Alexandria, relaxed with GGA-PBE.

Structure:
```
data_Ac3Ce5Te8
_chemical_formula_sum 'Ac9 Ce15 Te24'
_space_group_name_H-M_alt 'R -3 m'
_space_group_IT_number 166
_space_group_name_Hall '-R 3 2"'
_cell_length_a 11.1714
_cell_length_b 11.1714
_cell_length_c 13.7112
_cell_angle_alpha 90.00
_cell_angle_beta 90.00
_cell_angle_gamma 120.00
loop_
_atom_site_label
_atom_site_type_symbol
_atom_site_fract_x
_atom_site_fract_y
_atom_site_fract_z
_atom_site_occupancy
Ac1 Ac 0.0000 0.5000 0.0000 1
Ce1 Ce 0.0000 0.0000 0.0000 1
Ce2 Ce 0.0000 0.0000 0.5000 1
Ce3 Ce 0.0000 0.5000 0.5000 1
Te1 Te 0.0000 0.0000 0.2463 1
Te2 Te 0.0046 0.5023 0.7489 1
```

Largest 10 diffraction maxima, by intensity, 2θ = 5–70°:
2theta  I (rel.)  index
32.02  100  2 2 0
57.06  29  2 4 4
45.92  18  4 0 4
57.12  10  6 0 0
66.91  6  0 4 8
67.02  6  4 4 0
22.50  3  2 0 2
19.45  2  0 2 1
51.72  1  4 2 2
37.74  1  2 0 5